Entry 1:
BaPr2CdO5: computed powder XRD pattern (Cu Kα), based on DFT lattice parameters and positions (PBE).

```
BaPr2CdO5
1.0
6.900 0.000 0.000
0.000 6.900 0.000
0.000 0.000 6.288
Ba Pr Cd O
2 4 2 10
Cartesian
0.000 0.000 0.000 Ba
3.450 3.450 0.000 Ba
1.195 2.255 3.144 Pr
2.255 5.705 3.144 Pr
4.645 1.195 3.144 Pr
5.705 4.645 3.144 Pr
0.000 3.450 0.000 Cd
3.450 0.000 0.000 Cd
0.000 0.000 3.144 O
1.040 4.490 1.600 O
1.040 4.490 4.688 O
2.410 1.040 1.600 O
2.410 1.040 4.688 O
3.450 3.450 3.144 O
4.490 5.859 1.600 O
4.490 5.859 4.688 O
5.859 2.410 1.600 O
5.859 2.410 4.688 O
```

Top 8 peaks for 2θ from 10° to 90°, in order of rising 2θ:
Position (°2θ)  I_rel
28.39  41
28.94  16
29.53  100
32.32  43
36.85  24
40.98  35
47.16  22
50.97  26

---

Entry 2:
Bi2BO6: computed powder XRD pattern (Cu Kα), based on DFT lattice parameters and positions (PBE).

```
Bi2BO6
1.0
5.560 0.000 0.000
0.000 5.764 0.000
-3.226 0.000 7.624
Bi B O
4 2 12
Cartesian
0.213 0.830 1.675 Bi
-1.400 2.051 5.487 Bi
3.734 3.712 2.137 Bi
2.122 4.933 5.949 Bi
2.780 0.000 0.000 B
1.167 2.882 3.812 B
-2.110 0.819 7.291 O
-0.497 2.063 3.479 O
-1.869 3.698 6.752 O
-0.256 4.948 2.940 O
-0.019 0.365 6.365 O
1.594 2.517 2.553 O
0.741 3.247 5.071 O
2.354 5.398 1.259 O
2.591 0.816 4.684 O
4.203 2.066 0.872 O
2.832 3.701 4.145 O
4.444 4.945 0.333 O
```

Top 8 peaks for 2θ from 10° to 90°, in order of rising 2θ:
Position (°2θ)  I_rel
17.32  46
22.75  64
23.24  100
23.34  78
27.80  84
28.99  35
33.23  61
47.71  36

---

Entry 3:
NdTm15Sc4: computed powder XRD pattern (Cu Kα), based on DFT lattice parameters and positions (PBE).

```
NdTm15Sc4
1.0
4.881 0.000 0.000
0.000 4.881 0.000
0.000 0.000 24.429
Nd Tm Sc
1 15 4
Cartesian
0.000 0.000 0.000 Nd
0.000 2.440 2.557 Tm
0.000 2.440 7.384 Tm
0.000 2.440 12.214 Tm
0.000 2.440 17.045 Tm
0.000 2.440 21.872 Tm
2.440 0.000 2.557 Tm
2.440 0.000 7.384 Tm
2.440 0.000 12.214 Tm
2.440 0.000 17.045 Tm
2.440 0.000 21.872 Tm
2.440 2.440 0.000 Tm
2.440 2.440 4.988 Tm
2.440 2.440 9.799 Tm
2.440 2.440 14.629 Tm
2.440 2.440 19.441 Tm
0.000 0.000 4.963 Sc
0.000 0.000 9.801 Sc
0.000 0.000 14.628 Sc
0.000 0.000 19.466 Sc
```

Top 8 peaks for 2θ from 10° to 90°, in order of rising 2θ:
Position (°2θ)  I_rel
31.74  100
36.82  50
53.05  35
63.12  13
63.18  28
66.32  12
86.97  11
89.85  16

---

Entry 4:
La5CoSb2: computed powder XRD pattern (Cu Kα), based on DFT lattice parameters and positions (PBE).

```
La5CoSb2
1.0
12.627 0.000 0.000
0.000 9.420 0.000
0.000 0.000 8.315
La Co Sb
20 4 8
Cartesian
0.001 2.355 8.311 La
12.626 7.065 0.004 La
0.748 0.006 2.503 La
0.748 4.704 2.503 La
2.379 2.355 5.128 La
2.380 7.065 5.122 La
3.934 2.355 0.965 La
3.934 7.065 0.971 La
5.565 4.716 6.660 La
5.565 9.414 6.660 La
6.314 2.355 4.161 La
6.313 7.065 4.153 La
7.061 0.006 1.654 La
7.061 4.704 1.654 La
8.693 2.355 7.344 La
8.693 7.065 7.349 La
10.247 2.355 3.192 La
10.247 7.065 3.186 La
11.878 4.716 5.811 La
11.878 9.414 5.811 La
12.624 2.355 4.168 Co
0.002 7.065 4.147 Co
6.311 2.355 8.304 Co
6.316 7.065 0.010 Co
2.218 9.418 7.570 Sb
2.218 4.711 7.570 Sb
4.095 0.001 3.413 Sb
4.095 4.709 3.413 Sb
8.531 9.418 4.902 Sb
8.531 4.711 4.902 Sb
10.408 0.001 0.744 Sb
10.408 4.709 0.744 Sb
```

Top 8 peaks for 2θ from 10° to 90°, in order of rising 2θ:
Position (°2θ)  I_rel
28.64  25
29.52  100
30.28  67
30.44  90
32.02  51
35.37  25
38.22  47
49.51  34